(1)
Computed powder diffraction line list
Compound: HfTlAgTeSeS
Radiation: CuKα
Structure: a structure optimized by DFT (GGA-PBE)
Lines closer than 0.1° are merged.

Atomic structure:
Cell lengths 8.3493, 3.9326, 10.4635 Å; angles 90.00, 110.06, 90.00 degrees
Positions (direct):
1 Hf 0.1871 0.2500 0.1545
2 Hf 0.8129 0.7500 0.8455
3 Tl 0.2572 0.7500 0.7249
4 Tl 0.7428 0.2500 0.2751
5 Ag 0.4308 0.7500 0.3942
6 Ag 0.5692 0.2500 0.6058
7 Te 0.2058 0.2500 0.4373
8 Te 0.7942 0.7500 0.5627
9 Se 0.0591 0.2500 0.8786
10 Se 0.9409 0.7500 0.1214
11 S 0.3774 0.7500 0.1417
12 S 0.6226 0.2500 0.8583

Principal peaks in the range 2θ from 10° to 80°, most intense first:
(2 1 -1), d 2.860, rel. 100.0
(2 1 1), d 2.517, rel. 86.7
(2 1 0), d 2.776, rel. 84.9
(1 1 -3), d 2.605, rel. 74.1
(1 1 -2), d 3.093, rel. 69.3
(1 0 3), d 2.711, rel. 62.8
(0 1 1), d 3.651, rel. 61.2
(1 0 -1), d 7.514, rel. 55.0
(2 0 0), d 3.922, rel. 53.2
(0 2 0), d 1.966, rel. 49.5
(2 1 -4), d 2.112, rel. 43.8
(1 0 -4), d 2.615, rel. 43.3

---

(2)
Computed powder diffraction line list
Compound: BiAu15
Radiation: CuKα
Structure: a structure optimized by DFT (GGA-PBE)
Lines closer than 0.1° are merged.

Atomic structure:
Cell lengths 5.8776, 3.0055, 45.6982 Å; angles 90.00, 90.02, 90.00 degrees
Positions (direct):
1 Bi 0.1249 0.2500 0.3451
2 Bi 0.8751 0.7500 0.6549
3 Au 0.1184 0.2500 0.7090
4 Au 0.1245 0.2500 0.1563
5 Au 0.1253 0.2500 0.0670
6 Au 0.1251 0.2500 0.2454
7 Au 0.1254 0.2500 0.8884
8 Au 0.1247 0.2500 0.9777
9 Au 0.1262 0.2500 0.7990
10 Au 0.3683 0.7500 0.2910
11 Au 0.3749 0.7500 0.0223
12 Au 0.3749 0.7500 0.1116
13 Au 0.3754 0.7500 0.6650
14 Au 0.3749 0.7500 0.7537
15 Au 0.3753 0.7500 0.8438
16 Au 0.3750 0.7500 0.9331
17 Au 0.3758 0.7500 0.2010
18 Au 0.6242 0.2500 0.7990
19 Au 0.6250 0.2500 0.0669
20 Au 0.6247 0.2500 0.1562
21 Au 0.6251 0.2500 0.2463
22 Au 0.6246 0.2500 0.3350
23 Au 0.6251 0.2500 0.8884
24 Au 0.6251 0.2500 0.9777
25 Au 0.6317 0.2500 0.7090
26 Au 0.8738 0.7500 0.2010
27 Au 0.8753 0.7500 0.0223
28 Au 0.8746 0.7500 0.1116
29 Au 0.8749 0.7500 0.7546
30 Au 0.8747 0.7500 0.9330
31 Au 0.8755 0.7500 0.8437
32 Au 0.8816 0.7500 0.2910

Principal peaks in the range 2θ from 10° to 80°, most intense first:
(0 1 11), d 2.435, rel. 100.0
(2 1 0), d 2.101, rel. 85.3
(2 0 -11), d 2.400, rel. 49.1
(2 0 11), d 2.399, rel. 47.9
(2 1 -22), d 1.477, rel. 36.5
(4 1 -11), d 1.258, rel. 33.9
(0 0 22), d 2.077, rel. 27.5
(2 2 11), d 1.274, rel. 27.2
(0 1 12), d 2.359, rel. 22.9
(2 0 12), d 2.327, rel. 22.3
(2 1 23), d 1.444, rel. 16.4
(0 2 0), d 1.503, rel. 14.9